The following is a calculated X-ray diffraction stick pattern of Li4Mn5O10. It was derived from a cell relaxed with GGA+U, using Cu Kα (λ = 1.5418 Å).
Neutral-atom scattering factors, no anomalous dispersion.

The 10 most intense peaks (10° ≤ 2θ ≤ 80°), by intensity:
| 2θ (°) | d_spacing | I/Imax | index |
| --- | --- | --- | --- |
| 18.11 | 4.899 | 100 | 0 1 0 |
| 40.36 | 2.235 | 29 | 1 1 -2 |
| 43.60 | 2.076 | 22 | 1 2 3 |
| 43.85 | 2.065 | 22 | 2 -1 1 |
| 33.35 | 2.687 | 20 | 1 0 -2 |
| 35.88 | 2.503 | 15 | 1 1 3 |
| 35.98 | 2.496 | 11 | 2 0 1 |
| 64.52 | 1.444 | 9 | 3 1 4 |
| 46.72 | 1.944 | 8 | 1 -1 3 |
| 37.06 | 2.425 | 7 | 1 0 3 |

Cell: 5.1043 5.1563 7.9296 Å, 72.88 75.19 79.94°
Space group P-1 (No. 2)
Asymmetric unit:
Li 0.1152 0.4992 0.3137
Li 0.2926 0.5025 0.8990
Mn 0.0000 0.0000 0.0000
Mn 0.2018 0.9949 0.6008
Mn 0.3992 0.9927 0.2012
O 0.0692 0.2291 0.1353
O 0.1216 0.7759 0.4563
O 0.2311 0.2012 0.7772
O 0.3247 0.7674 0.0626
O 0.4661 0.2191 0.3363

The following is a calculated X-ray diffraction stick pattern of Rb2V3O8. It was derived from a cell relaxed with GGA+U, using Cu Kα (λ = 1.5418 Å).
Neutral-atom scattering factors, no anomalous dispersion.

The 10 most intense peaks (10° ≤ 2θ ≤ 80°), by intensity:
| 2θ (°) | d_spacing | I/Imax | index |
| --- | --- | --- | --- |
| 26.66 | 3.343 | 100 | 2 1 1 |
| 31.27 | 2.861 | 24 | 3 1 0 |
| 43.99 | 2.059 | 14 | 4 1 1 |
| 51.40 | 1.778 | 14 | 2 1 3 |
| 24.75 | 3.598 | 13 | 2 0 1 |
| 30.10 | 2.969 | 13 | 0 0 2 |
| 56.97 | 1.616 | 11 | 5 2 1 |
| 14.92 | 5.937 | 10 | 0 0 1 |
| 52.87 | 1.732 | 9 | 3 3 2 |
| 20.41 | 4.352 | 9 | 1 1 1 |

Cell: 9.0457 9.0457 5.9372 Å, 90.00 90.00 90.00°
Space group P4bm (No. 100)
Asymmetric unit:
Rb 0.1686 0.3314 0.0000
V 0.0000 0.0000 0.7033
V 0.1343 0.6343 0.5184
O 0.0000 0.0000 0.9813
O 0.0000 0.5000 0.6259
O 0.0846 0.8060 0.6257
O 0.1325 0.6325 0.2369